# Zr3AsH3
Calculated PXRD pattern, Cu Kα X-rays. Input: a GGA-PBE-relaxed structure.
Peak positions follow from Bragg's law for the DFT cell and can differ from measured ones.

Lattice parameters (Å, degrees): 6.0675 6.0675 18.3000 90.00 90.00 120.00
Space group R-3 (No. 148, hexagonal axes)
Symmetry-distinct sites (fractional):
Zr  0.0006  0.3215  0.0912 x18
As  0.0000  0.0000  0.3333 x6
H  0.0018  0.3450  0.8713 x18

Principal peaks in the range 15° ≤ 2θ ≤ 90°, by angle:
| d (Å) | Rel. int. | (hkl) |
| --- | --- | --- |
| 3.050 | 13 | 0 0 6 |
| 2.716 | 100 | 2 -1 3 |
| 2.151 | 38 | 1 1 6 |
| 1.752 | 25 | 3 0 0 |
| 1.689 | 17 | 1 1 9 |
| 1.519 | 9 | 3 0 6 |
| 1.472 | 14 | 2 2 3 |
| 1.358 | 8 | 4 -2 6 |
| 1.327 | 6 | 3 0 9 |
| 1.150 | 9 | 3 0 12 |
| 1.132 | 6 | 2 -1 15 |
| 1.127 | 12 | 5 -1 3 |